(1)
The following is a simulated powder XRD pattern of Li4Mn5CrP6O24. It was derived from the PBE+U geometry in the Materials Project, using Cu Ka.

Most intense lines, 2θ = 10–80°, most intense first:
19.77 deg, d = 4.492 Å, I = 100; 23.83 deg, d = 3.734 Å, I = 54; 34.54 deg, d = 2.597 Å, I = 53; 33.18 deg, d = 2.700 Å, I = 37; 23.35 deg, d = 3.810 Å, I = 30; 34.68 deg, d = 2.587 Å, I = 26; 32.40 deg, d = 2.763 Å, I = 25; 23.91 deg, d = 3.722 Å, I = 25

Structural model:
```
Li4Mn5CrP6O24
1.0
8.507 0.000 0.000
3.879 7.700 0.000
3.914 2.535 7.325
Li Mn Cr P O
4 5 1 6 24
Direct
0.000 0.000 0.000 Li
0.094 0.887 0.505 Li
0.204 0.389 0.413 Li
0.621 0.586 0.794 Li
0.009 0.388 0.801 Mn
0.368 0.739 0.135 Mn
0.497 0.888 0.291 Mn
0.702 0.090 0.494 Mn
0.843 0.239 0.644 Mn
0.204 0.587 0.995 Cr
0.105 0.181 0.197 P
0.288 0.982 0.694 P
0.408 0.490 0.589 P
0.598 0.286 0.094 P
0.798 0.786 0.892 P
0.910 0.691 0.389 P
0.040 0.194 0.052 O
0.098 0.137 0.726 O
0.102 0.658 0.230 O
0.168 0.344 0.147 O
0.258 0.427 0.602 O
0.263 0.989 0.220 O
0.273 0.825 0.890 O
0.299 0.924 0.548 O
0.358 0.548 0.753 O
0.414 0.660 0.404 O
0.442 0.482 0.066 O
0.454 0.036 0.650 O
0.532 0.128 0.138 O
0.599 0.343 0.571 O
0.609 0.811 0.042 O
0.661 0.262 0.244 O
0.740 0.753 0.332 O
0.747 0.307 0.901 O
0.808 0.970 0.731 O
0.816 0.638 0.827 O
0.911 0.834 0.445 O
0.923 0.496 0.538 O
0.959 0.733 0.963 O
0.962 0.161 0.391 O
```

---

(2)
The following is a simulated powder XRD pattern of Li2MnCrP2O8. It was derived from the PBE+U geometry in the Materials Project, using Cu Ka.

Most intense lines, 2θ = 10–80°, most intense first:
28.52 deg, d = 3.129 Å, I = 100; 35.39 deg, d = 2.536 Å, I = 84; 34.63 deg, d = 2.590 Å, I = 67; 20.23 deg, d = 4.389 Å, I = 52; 25.11 deg, d = 3.547 Å, I = 52; 24.78 deg, d = 3.593 Å, I = 45; 20.63 deg, d = 4.305 Å, I = 38; 54.84 deg, d = 1.674 Å, I = 36

Structural model:
```
Li2MnCrP2O8
1.0
4.784 0.000 0.000
0.000 6.258 0.000
-0.267 0.000 10.419
Li Mn Cr P O
4 2 2 4 16
Direct
0.000 0.000 0.000 Li
0.000 0.500 0.000 Li
0.500 0.000 0.500 Li
0.500 0.500 0.500 Li
0.027 0.250 0.282 Mn
0.973 0.750 0.718 Mn
0.452 0.250 0.784 Cr
0.548 0.750 0.216 Cr
0.092 0.750 0.404 P
0.419 0.750 0.910 P
0.581 0.250 0.090 P
0.908 0.250 0.596 P
0.210 0.750 0.545 O
0.219 0.549 0.338 O
0.219 0.951 0.338 O
0.233 0.250 0.604 O
0.260 0.250 0.092 O
0.282 0.553 0.840 O
0.282 0.947 0.840 O
0.304 0.750 0.050 O
0.696 0.250 0.950 O
0.718 0.053 0.160 O
0.718 0.447 0.160 O
0.740 0.750 0.908 O
0.767 0.750 0.396 O
0.781 0.049 0.662 O
0.781 0.451 0.662 O
0.790 0.250 0.455 O
```

---

(3)
The following is a simulated powder XRD pattern of Li8Mn3CrP6O24. It was derived from the PBE+U geometry in the Materials Project, using Cu Ka.

Most intense lines, 2θ = 10–80°, most intense first:
23.66 deg, d = 3.760 Å, I = 100; 19.24 deg, d = 4.613 Å, I = 94; 30.90 deg, d = 2.894 Å, I = 88; 23.92 deg, d = 3.721 Å, I = 69; 14.17 deg, d = 6.249 Å, I = 52; 14.03 deg, d = 6.311 Å, I = 45; 19.40 deg, d = 4.575 Å, I = 35; 28.28 deg, d = 3.156 Å, I = 34

Structural model:
```
Li8Mn3CrP6O24
1.0
8.384 0.000 0.000
-4.142 7.430 0.000
-4.088 -2.541 7.871
Li Mn Cr P O
8 3 1 6 24
Direct
0.000 0.000 0.000 Li
0.047 0.279 0.511 Li
0.301 0.153 0.309 Li
0.351 0.416 0.824 Li
0.474 0.945 0.546 Li
0.605 0.885 0.263 Li
0.744 0.563 0.566 Li
0.858 0.481 0.272 Li
0.359 0.568 0.442 Mn
0.381 0.066 0.972 Mn
0.981 0.865 0.375 Mn
0.965 0.366 0.851 Cr
0.163 0.755 0.158 P
0.171 0.662 0.658 P
0.464 0.470 0.168 P
0.472 0.271 0.666 P
0.866 0.973 0.651 P
0.889 0.177 0.159 P
0.033 0.369 0.309 O
0.058 0.013 0.819 O
0.074 0.611 0.995 O
0.099 0.466 0.694 O
0.234 0.954 0.131 O
0.260 0.403 0.994 O
0.292 0.823 0.815 O
0.328 0.701 0.592 O
0.335 0.080 0.521 O
0.369 0.778 0.308 O
0.371 0.388 0.605 O
0.412 0.430 0.315 O
0.472 0.249 0.830 O
0.549 0.347 0.160 O
0.632 0.681 0.217 O
0.673 0.074 0.148 O
0.686 0.759 0.591 O
0.701 0.377 0.693 O
0.787 0.098 0.677 O
0.872 0.212 0.991 O
0.918 0.019 0.508 O
0.967 0.642 0.511 O
0.992 0.061 0.207 O
0.998 0.701 0.211 O
```

---

(4)
The following is a simulated powder XRD pattern of Li4Mn3CrP4O16. It was derived from the PBE+U geometry in the Materials Project, using Cu Ka.

Most intense lines, 2θ = 10–80°, most intense first:
28.68 deg, d = 3.113 Å, I = 100; 34.67 deg, d = 2.587 Å, I = 71; 35.15 deg, d = 2.553 Å, I = 68; 25.04 deg, d = 3.556 Å, I = 66; 24.84 deg, d = 3.585 Å, I = 50; 20.25 deg, d = 4.385 Å, I = 48; 20.52 deg, d = 4.329 Å, I = 40; 16.93 deg, d = 5.236 Å, I = 35

Structural model:
```
Li4Mn3CrP4O16
1.0
4.791 0.000 0.000
0.000 6.226 0.000
-0.178 0.000 10.473
Li Mn Cr P O
4 3 1 4 16
Direct
0.000 0.249 0.000 Li
0.000 0.751 0.000 Li
0.497 0.249 0.497 Li
0.497 0.751 0.497 Li
0.030 0.000 0.281 Mn
0.470 0.000 0.780 Mn
0.970 0.500 0.717 Mn
0.548 0.500 0.215 Cr
0.088 0.500 0.404 P
0.414 0.500 0.909 P
0.588 0.000 0.091 P
0.907 0.000 0.591 P
0.204 0.500 0.544 O
0.218 0.298 0.338 O
0.218 0.702 0.338 O
0.229 0.000 0.597 O
0.266 0.000 0.093 O
0.277 0.301 0.840 O
0.277 0.699 0.840 O
0.303 0.500 0.048 O
0.709 0.000 0.954 O
0.722 0.198 0.161 O
0.722 0.802 0.161 O
0.735 0.500 0.904 O
0.765 0.500 0.395 O
0.777 0.199 0.661 O
0.777 0.801 0.661 O
0.784 0.000 0.453 O
```

---

(5)
The following is a simulated powder XRD pattern of Li5Mn3CrP4O16. It was derived from the PBE+U geometry in the Materials Project, using Cu Ka.

Most intense lines, 2θ = 10–80°, most intense first:
27.95 deg, d = 3.192 Å, I = 100; 34.35 deg, d = 2.611 Å, I = 96; 20.26 deg, d = 4.384 Å, I = 52; 24.41 deg, d = 3.647 Å, I = 44; 16.76 deg, d = 5.288 Å, I = 36; 33.61 deg, d = 2.667 Å, I = 31; 19.82 deg, d = 4.479 Å, I = 30; 35.24 deg, d = 2.547 Å, I = 28

Structural model:
```
Li5Mn3CrP4O16
1.0
4.881 0.000 0.000
-0.034 6.390 0.000
-0.298 -0.415 10.577
Li Mn Cr P O
5 3 1 4 16
Direct
0.000 0.000 0.000 Li
0.005 0.485 0.003 Li
0.388 0.516 0.620 Li
0.470 0.016 0.504 Li
0.629 0.443 0.359 Li
0.462 0.221 0.796 Mn
0.533 0.765 0.210 Mn
0.941 0.759 0.718 Mn
0.103 0.222 0.284 Cr
0.112 0.731 0.405 P
0.405 0.737 0.901 P
0.589 0.245 0.089 P
0.888 0.245 0.598 P
0.196 0.747 0.550 O
0.205 0.241 0.612 O
0.251 0.538 0.342 O
0.251 0.922 0.345 O
0.267 0.931 0.838 O
0.276 0.237 0.072 O
0.287 0.727 0.036 O
0.289 0.545 0.819 O
0.697 0.443 0.168 O
0.713 0.046 0.150 O
0.721 0.750 0.900 O
0.726 0.254 0.956 O
0.755 0.054 0.667 O
0.767 0.446 0.666 O
0.780 0.229 0.460 O
0.797 0.726 0.387 O
```